1.
For MgAg14Pb6O18, a PBE-relaxed structure gives the calculated powder XRD pattern in this record (CuKα).
Peak positions follow from Bragg's law for the DFT cell and can differ from measured ones.

Cell and atoms:
a = 8.897 Å, b = 9.095 Å, c = 9.095 Å
α = 70.90°, β = 72.02°, γ = 71.42°
Element x y z (fractional)
Mg 0.000 0.000 0.000
Ag 0.093 0.724 0.905
Ag 0.095 0.266 0.422
Ag 0.190 0.825 0.506
Ag 0.281 0.431 0.076
Ag 0.337 0.007 0.646
Ag 0.427 0.590 0.734
Ag 0.510 0.182 0.824
Ag 0.584 0.758 0.406
Ag 0.681 0.332 0.979
Ag 0.696 0.946 0.077
Ag 0.755 0.426 0.568
Ag 0.848 0.517 0.165
Ag 0.919 0.084 0.714
Ag 0.996 0.671 0.324
Pb 0.092 0.412 0.744
Pb 0.159 0.124 0.134
Pb 0.427 0.753 0.070
Pb 0.431 0.420 0.409
Pb 0.751 0.088 0.405
Pb 0.752 0.752 0.738
O 0.023 0.073 0.400
O 0.023 0.686 0.718
O 0.090 0.392 0.011
O 0.093 0.140 0.799
O 0.153 0.800 0.082
O 0.160 0.450 0.467
O 0.371 0.405 0.674
O 0.407 0.691 0.341
O 0.424 0.004 0.058
O 0.463 0.483 0.139
O 0.479 0.771 0.803
O 0.484 0.159 0.436
O 0.698 0.730 0.004
O 0.705 0.359 0.384
O 0.728 0.019 0.674
O 0.768 0.819 0.467
O 0.807 0.098 0.142
O 0.813 0.484 0.752

Main lines, sorted by position (5 to 70 degrees two-theta):
- 29.2 deg, rel. 36, hkl 1 1 -2
- 29.4 deg, rel. 99, hkl -2 1 1
- 31.4 deg, rel. 81, hkl 1 3 2
- 31.8 deg, rel. 39, hkl 2 1 3
- 32.1 deg, rel. 100, hkl 0 0 3
- 32.2 deg, rel. 64, hkl 0 3 0
- 32.7 deg, rel. 54, hkl 3 0 0
- 36.3 deg, rel. 30, hkl -1 1 3
- 36.6 deg, rel. 32, hkl 1 3 -1
- 53.8 deg, rel. 33, hkl -2 4 1

***

2.
For MgAg14Pb6O18, a PBE-relaxed structure gives the calculated powder XRD pattern in this record (CuKα).
Peak positions follow from Bragg's law for the DFT cell and can differ from measured ones.

Cell and atoms:
a = 8.818 Å, b = 8.997 Å, c = 9.014 Å
α = 72.23°, β = 74.19°, γ = 73.03°
Element x y z (fractional)
Mg 0.000 0.000 0.000
Ag 0.078 0.901 0.390
Ag 0.082 0.389 0.896
Ag 0.235 0.568 0.569
Ag 0.343 0.163 0.154
Ag 0.404 0.725 0.240
Ag 0.409 0.231 0.732
Ag 0.494 0.326 0.332
Ag 0.609 0.892 0.878
Ag 0.641 0.500 0.471
Ag 0.737 0.081 0.550
Ag 0.750 0.558 0.056
Ag 0.825 0.651 0.630
Ag 0.921 0.237 0.225
Ag 0.990 0.782 0.782
Pb 0.076 0.232 0.561
Pb 0.079 0.567 0.226
Pb 0.401 0.901 0.575
Pb 0.408 0.574 0.898
Pb 0.717 0.889 0.239
Pb 0.736 0.245 0.876
O 0.028 0.201 0.830
O 0.033 0.833 0.197
O 0.056 0.503 0.499
O 0.103 0.297 0.295
O 0.129 0.964 0.583
O 0.136 0.579 0.959
O 0.350 0.171 0.545
O 0.356 0.540 0.169
O 0.403 0.839 0.835
O 0.421 0.631 0.630
O 0.434 0.918 0.312
O 0.466 0.297 0.916
O 0.671 0.889 0.509
O 0.686 0.506 0.868
O 0.789 0.148 0.124
O 0.802 0.266 0.610
O 0.806 0.966 0.926
O 0.810 0.609 0.246

Main lines, sorted by position (5 to 70 degrees two-theta):
- 27.5 deg, rel. 65, hkl 2 2 2
- 28.9 deg, rel. 86, hkl 1 1 -2
- 31.9 deg, rel. 81, hkl 1 3 2
- 31.9 deg, rel. 53, hkl 0 0 3
- 32.2 deg, rel. 89, hkl 0 3 0
- 32.5 deg, rel. 100, hkl 3 0 0
- 32.8 deg, rel. 68, hkl 3 1 2
- 35.8 deg, rel. 43, hkl -1 1 3
- 36.5 deg, rel. 69, hkl 3 1 -1
- 53.3 deg, rel. 43, hkl 1 0 5

***

3.
For MgAg14Pb6O18, a PBE-relaxed structure gives the calculated powder XRD pattern in this record (CuKα).
Peak positions follow from Bragg's law for the DFT cell and can differ from measured ones.

Cell and atoms:
a = 8.852 Å, b = 8.942 Å, c = 8.992 Å
α = 73.69°, β = 73.70°, γ = 74.67°
Element x y z (fractional)
Mg 0.000 0.000 0.000
Ag 0.059 0.302 0.941
Ag 0.154 0.307 0.532
Ag 0.215 0.721 0.073
Ag 0.268 0.363 0.135
Ag 0.331 0.969 0.701
Ag 0.414 0.563 0.292
Ag 0.471 0.152 0.377
Ag 0.513 0.623 0.870
Ag 0.558 0.728 0.455
Ag 0.723 0.865 0.637
Ag 0.771 0.939 0.281
Ag 0.827 0.474 0.705
Ag 0.916 0.072 0.708
Ag 0.988 0.632 0.382
Pb 0.150 0.971 0.365
Pb 0.162 0.638 0.706
Pb 0.490 0.307 0.707
Pb 0.502 0.983 0.032
Pb 0.817 0.308 0.365
Pb 0.829 0.636 0.045
O 0.090 0.245 0.349
O 0.102 0.590 0.979
O 0.139 0.905 0.652
O 0.177 0.699 0.437
O 0.178 0.971 0.103
O 0.222 0.365 0.714
O 0.416 0.961 0.318
O 0.435 0.576 0.685
O 0.469 0.258 0.961
O 0.514 0.041 0.752
O 0.545 0.333 0.437
O 0.566 0.689 0.057
O 0.759 0.298 0.637
O 0.798 0.579 0.315
O 0.813 0.903 0.034
O 0.843 0.364 0.107
O 0.873 0.036 0.419
O 0.887 0.657 0.774

Main lines, sorted by position (5 to 70 degrees two-theta):
- 27.8 deg, rel. 28, hkl 2 2 2
- 28.6 deg, rel. 26, hkl 1 -2 1
- 28.8 deg, rel. 31, hkl -2 1 1
- 28.9 deg, rel. 27, hkl 1 1 -2
- 31.9 deg, rel. 85, hkl 0 0 3
- 31.9 deg, rel. 40, hkl 0 3 0
- 32.3 deg, rel. 100, hkl 3 0 0
- 32.6 deg, rel. 45, hkl 2 3 1
- 32.8 deg, rel. 23, hkl 3 2 1
- 36.1 deg, rel. 28, hkl 1 -1 3

***

4.
For MgAg14Pb6O18, a PBE-relaxed structure gives the calculated powder XRD pattern in this record (CuKα).
Peak positions follow from Bragg's law for the DFT cell and can differ from measured ones.

Cell and atoms:
a = 8.767 Å, b = 8.918 Å, c = 8.967 Å
α = 73.05°, β = 74.33°, γ = 73.45°
Element x y z (fractional)
Mg 0.000 0.000 0.000
Ag 0.051 0.528 0.473
Ag 0.150 0.119 0.554
Ag 0.222 0.683 0.141
Ag 0.305 0.275 0.728
Ag 0.373 0.357 0.318
Ag 0.400 0.854 0.800
Ag 0.477 0.434 0.900
Ag 0.560 0.023 0.470
Ag 0.627 0.629 0.041
Ag 0.695 0.226 0.133
Ag 0.725 0.695 0.639
Ag 0.781 0.781 0.243
Ag 0.887 0.368 0.801
Ag 0.976 0.944 0.375
Pb 0.043 0.367 0.134
Pb 0.063 0.698 0.801
Pb 0.371 0.029 0.134
Pb 0.386 0.691 0.474
Pb 0.721 0.359 0.471
Pb 0.732 0.028 0.799
O 0.020 0.966 0.785
O 0.029 0.646 0.069
O 0.075 0.428 0.863
O 0.090 0.089 0.127
O 0.111 0.716 0.535
O 0.310 0.313 0.124
O 0.335 0.665 0.744
O 0.369 0.956 0.420
O 0.403 0.740 0.211
O 0.445 0.421 0.497
O 0.463 0.043 0.852
O 0.661 0.628 0.459
O 0.703 0.299 0.742
O 0.749 0.087 0.530
O 0.761 0.006 0.051
O 0.769 0.403 0.200
O 0.791 0.759 0.821
O 0.994 0.341 0.406

Main lines, sorted by position (5 to 70 degrees two-theta):
- 28.9 deg, rel. 28, hkl 1 1 -2
- 29.1 deg, rel. 38, hkl -2 1 1
- 29.3 deg, rel. 34, hkl 1 -2 1
- 32.0 deg, rel. 54, hkl 0 0 3
- 32.3 deg, rel. 90, hkl 0 3 0
- 32.3 deg, rel. 36, hkl 1 3 2
- 32.6 deg, rel. 100, hkl 3 0 0
- 33.0 deg, rel. 33, hkl 3 1 2
- 36.6 deg, rel. 41, hkl 1 -1 3
- 53.6 deg, rel. 36, hkl -2 4 1

***

- Number 2 is which compound?
  MgAg14Pb6O18